The following is a simulated X-ray powder pattern of Li5MnOF5. It was derived from a crystal structure in Alexandria, relaxed with GGA+U, using Cu Kα X-rays.
Intensities are scaled so that the largest is 100.

Atomic structure:
```
data_Li5MnOF5
_symmetry_space_group_name_H-M 'P 3 m 1'
_symmetry_Int_Tables_number 156
_symmetry_space_group_name_Hall 'P 3 -2"'
_cell_length_a 3.3281
_cell_length_b 3.3281
_cell_length_c 14.4876
_cell_angle_alpha 90.00
_cell_angle_beta 90.00
_cell_angle_gamma 120.00
loop_
_atom_site_label
_atom_site_fract_x
_atom_site_fract_y
_atom_site_fract_z
_atom_site_occupancy
Li1 0.0000 0.0000 0.0000 1
Li2 0.0000 0.0000 0.3207 1
Li3 0.0000 0.0000 0.6436 1
Li4 0.6667 0.3333 0.1601 1
Li5 0.6667 0.3333 0.4813 1
Mn1 0.6667 0.3333 0.8133 1
O1 0.0000 0.0000 0.7811 1
F1 0.0000 0.0000 0.1310 1
F2 0.0000 0.0000 0.4519 1
F3 0.6667 0.3333 0.2913 1
F4 0.6667 0.3333 0.6125 1
F5 0.6667 0.3333 0.9714 1
```

Principal peaks in the range 10 to 80 degrees two-theta, in order of rising 2θ:
two_theta	Rel. int.	hkl
12.22	51.8	0 0 2
31.03	100.0	1 0 0
31.65	40.1	1 0 1
37.24	45.6	0 0 6
49.23	37.3	1 0 6
55.20	50.1	1 1 0